# Ba2Li2TbTl5
Computed powder X-ray diffraction pattern, Cu Kα, 1.54184 Å. Input: a DFT-relaxed cell (PBE, Alexandria).
Lines closer than 0.1° are merged.

a b c (Å): 12.047 12.047 4.023
angles (deg): 90.00 90.00 90.00
Element x y z (fractional)
Ba (0.178, 0.322, 0.000)
Ba (0.322, 0.822, 0.000)
Ba (0.678, 0.178, 0.000)
Ba (0.822, 0.678, 0.000)
Li (0.121, 0.621, 0.000)
Li (0.379, 0.121, 0.000)
Li (0.621, 0.879, 0.000)
Li (0.879, 0.379, 0.000)
Tb (0.000, 0.000, 0.000)
Tb (0.500, 0.500, 0.000)
Tl (0.000, 0.500, 0.500)
Tl (0.061, 0.793, 0.500)
Tl (0.207, 0.061, 0.500)
Tl (0.293, 0.561, 0.500)
Tl (0.439, 0.293, 0.500)
Tl (0.500, 0.000, 0.500)
Tl (0.561, 0.707, 0.500)
Tl (0.707, 0.439, 0.500)
Tl (0.793, 0.939, 0.500)
Tl (0.939, 0.207, 0.500)

Principal peaks in the range 10 to 90 degrees two-theta, low angle first:
- 2θ 27.67, d = 3.224 Å, I 40, hkl 2 1 1
- 2θ 30.59, d = 2.923 Å, I 100, hkl 4 1 0
- 2θ 32.36, d = 2.766 Å, I 97, hkl 3 1 1
- 2θ 33.26, d = 2.694 Å, I 24, hkl 4 2 0
- 2θ 34.91, d = 2.570 Å, I 30, hkl 3 2 1
- 2θ 45.08, d = 2.011 Å, I 23, hkl 0 0 2
- 2θ 53.79, d = 1.704 Å, I 25, hkl 5 4 1
- 2θ 55.46, d = 1.657 Å, I 25, hkl 4 1 2
- 2θ 56.06, d = 1.640 Å, I 21, hkl 6 3 1
- 2θ 58.86, d = 1.569 Å, I 27, hkl 7 1 1


# LiCe2HfP4
Computed powder X-ray diffraction pattern, Cu Kα, 1.54184 Å. Input: a DFT-relaxed cell (PBE, Alexandria).
Lines closer than 0.1° are merged.

a b c (Å): 6.546 3.954 6.941
angles (deg): 90.00 110.16 90.00
Element x y z (fractional)
Li (0.000, 0.000, 0.000)
Ce (0.500, 0.000, 0.500)
Ce (0.500, 0.500, 0.000)
Hf (0.000, 0.500, 0.500)
P (0.230, 0.000, 0.737)
P (0.235, 0.500, 0.255)
P (0.765, 0.500, 0.745)
P (0.770, 0.000, 0.263)

Principal peaks in the range 10 to 90 degrees two-theta, low angle first:
- 2θ 13.59, d = 6.515 Å, I 24, hkl 0 0 1
- 2θ 16.06, d = 5.520 Å, I 16, hkl 1 0 -1
- 2θ 27.38, d = 3.258 Å, I 17, hkl 0 0 2
- 2θ 27.75, d = 3.215 Å, I 33, hkl 1 1 -1
- 2θ 29.06, d = 3.072 Å, I 15, hkl 2 0 0
- 2θ 32.43, d = 2.760 Å, I 100, hkl 1 1 1
- 2θ 45.42, d = 1.997 Å, I 26, hkl 1 1 -3
- 2θ 45.90, d = 1.977 Å, I 13, hkl 0 2 0
- 2θ 47.62, d = 1.910 Å, I 22, hkl 3 1 -1
- 2θ 57.32, d = 1.607 Å, I 13, hkl 2 2 -2


# Pm2MoC2
Computed powder X-ray diffraction pattern, Cu Kα, 1.54184 Å. Input: a DFT-relaxed cell (PBE, Alexandria).
Lines closer than 0.1° are merged.

a b c (Å): 6.777 5.321 10.259
angles (deg): 90.00 90.00 90.00
Element x y z (fractional)
Pm (0.036, 0.250, 0.218)
Pm (0.182, 0.250, 0.554)
Pm (0.318, 0.750, 0.054)
Pm (0.464, 0.750, 0.718)
Pm (0.536, 0.250, 0.282)
Pm (0.682, 0.250, 0.946)
Pm (0.818, 0.750, 0.446)
Pm (0.964, 0.750, 0.782)
Mo (0.219, 0.250, 0.864)
Mo (0.281, 0.750, 0.364)
Mo (0.719, 0.250, 0.636)
Mo (0.781, 0.750, 0.136)
C (0.049, 0.750, 0.242)
C (0.186, 0.750, 0.543)
C (0.314, 0.250, 0.043)
C (0.451, 0.250, 0.742)
C (0.549, 0.750, 0.258)
C (0.686, 0.750, 0.957)
C (0.814, 0.250, 0.457)
C (0.951, 0.250, 0.758)

Principal peaks in the range 10 to 90 degrees two-theta, low angle first:
- 2θ 29.25, d = 3.053 Å, I 24, hkl 1 0 3
- 2θ 31.09, d = 2.877 Å, I 92, hkl 0 1 3
- 2θ 31.30, d = 2.858 Å, I 45, hkl 2 1 0
- 2θ 31.65, d = 2.827 Å, I 44, hkl 2 0 2
- 2θ 32.52, d = 2.753 Å, I 100, hkl 2 1 1
- 2θ 33.69, d = 2.660 Å, I 81, hkl 0 2 0
- 2θ 33.85, d = 2.648 Å, I 49, hkl 1 1 3
- 2θ 37.36, d = 2.407 Å, I 23, hkl 2 0 3
- 2θ 46.89, d = 1.937 Å, I 29, hkl 2 2 2
- 2θ 57.02, d = 1.615 Å, I 24, hkl 3 1 4


# CsNaSn4
Computed powder X-ray diffraction pattern, Cu Kα, 1.54184 Å. Input: a DFT-relaxed cell (PBE, Alexandria).
Lines closer than 0.1° are merged.

a b c (Å): 4.990 4.990 10.848
angles (deg): 90.00 90.00 120.00
Element x y z (fractional)
Cs (0.000, 0.000, 0.000)
Na (0.000, 0.000, 0.500)
Sn (0.333, 0.667, 0.288)
Sn (0.333, 0.667, 0.712)
Sn (0.667, 0.333, 0.288)
Sn (0.667, 0.333, 0.712)

Principal peaks in the range 10 to 90 degrees two-theta, low angle first:
- 2θ 16.34, d = 5.424 Å, I 28, hkl 0 0 2
- 2θ 22.14, d = 4.015 Å, I 30, hkl 1 0 1
- 2θ 24.62, d = 3.616 Å, I 26, hkl 0 0 3
- 2θ 26.37, d = 3.380 Å, I 100, hkl 1 0 2
- 2θ 35.99, d = 2.495 Å, I 67, hkl 1 1 0
- 2θ 39.76, d = 2.267 Å, I 19, hkl 1 1 2
- 2θ 44.10, d = 2.054 Å, I 34, hkl 1 1 3
- 2θ 45.17, d = 2.007 Å, I 23, hkl 2 0 2
- 2θ 49.65, d = 1.836 Å, I 25, hkl 1 1 4
- 2θ 59.06, d = 1.564 Å, I 21, hkl 2 1 2